# Li3MnPCO7
Calculated XRD peak list, Cu Kα. Input: a structure optimized by DFT (GGA+U).

Cell lengths 5.2914, 7.6727, 8.3851 Å; angles 76.47, 88.95, 76.12 degrees
Atoms (fractional coordinates):
Li 0.0332 0.3933 0.2359
Li 0.4058 0.0254 0.2185
Li 0.4254 0.6455 0.2422
Li 0.5746 0.3545 0.7578
Li 0.5942 0.9746 0.7815
Li 0.9668 0.6067 0.7641
Mn 0.1036 0.1919 0.6311
Mn 0.8964 0.8081 0.3689
P 0.4072 0.7532 0.5836
P 0.5928 0.2468 0.4164
C 0.1457 0.2490 0.9312
C 0.8543 0.7510 0.0688
O 0.0638 0.6632 0.1630
O 0.1538 0.2338 0.0852
O 0.2888 0.2978 0.4235
O 0.2891 0.8128 0.4014
O 0.3156 0.5844 0.6799
O 0.3209 0.9181 0.6652
O 0.3494 0.1781 0.8546
O 0.6506 0.8219 0.1454
O 0.6791 0.0819 0.3348
O 0.6844 0.4156 0.3201
O 0.7109 0.1872 0.5986
O 0.7112 0.7022 0.5765
O 0.8462 0.7662 0.9148
O 0.9362 0.3368 0.8370

Most intense lines, 2θ = 10–90°, by intensity:
2θ 10.86, rel. 100; 2θ 24.60, rel. 56; 2θ 22.70, rel. 45; 2θ 28.87, rel. 26; 2θ 24.43, rel. 23; 2θ 20.82, rel. 22